Entry 1:
# Na6Mn2B4SO16
Theoretical X-ray powder pattern, λ = 1.5418 Å (Cu Kα). Input: the PBE+U geometry in the Materials Project.
Lines closer than 0.1° are merged.

Most intense lines, 2θ from 10° to 90°, by angle:
| 2θ (°) | I_rel | hkl |
| --- | --- | --- |
| 11.02 | 38 | 1 1 1 |
| 21.19 | 100 | 3 1 1 |
| 33.48 | 79 | 5 1 1 |
| 36.55 | 57 | 4 4 0 |
| 46.64 | 24 | 7 1 1 |
| 57.38 | 25 | 5 5 5 |

Crystal structure
a = 13.908 Å, b = 13.908 Å, c = 13.908 Å
α = 90.00°, β = 90.00°, γ = 90.00°
Space group Fd-3 (No. 203, origin choice 2)
One atom of each set of equivalent atoms:
Na 0.093 0.375 0.375 x48
Mn 0.000 0.000 0.500 x16
B 0.039 0.039 0.711 x32
S 0.125 0.125 0.125 x8
O 0.021 0.275 0.613 x96
O 0.063 0.063 0.063 x32

=====

Entry 2:
# Na3MnSiBO7
Theoretical X-ray powder pattern, λ = 1.5418 Å (Cu Kα). Input: the PBE+U geometry in the Materials Project.
Lines closer than 0.1° are merged.

Most intense lines, 2θ from 10° to 90°, by angle:
| 2θ (°) | I_rel | hkl |
| --- | --- | --- |
| 16.91 | 61 | 0 1 1 |
| 19.88 | 52 | 1 0 1 |
| 27.56 | 88 | 0 2 0 |
| 33.80 | 88 | 1 0 -3 |
| 33.93 | 75 | 2 0 0 |
| 34.21 | 100 | 0 2 2 |

Crystal structure
```
data_Na3MnSiBO7
_chemical_formula_sum 'Na6 Mn2 Si2 B2 O14'
_symmetry_space_group_name_H-M 'P 1 21/m 1'
_symmetry_Int_Tables_number 11
_cell_length_a 5.290
_cell_length_b 6.473
_cell_length_c 8.952
_cell_angle_alpha 90.00
_cell_angle_beta 92.58
_cell_angle_gamma 90.00
loop_
_symmetry_equiv_pos_as_xyz
'x,y,z'
'-x,-y,-z'
'-x,y+1/2,-z'
'x,-y+1/2,z'
loop_
_atom_site_label
_atom_site_fract_x
_atom_site_fract_y
_atom_site_fract_z
_atom_site_occupancy
Na1 0.232 0.250 0.083 1
Na2 0.254 0.511 0.737 1
Mn1 0.216 0.750 0.335 1
Si1 0.278 0.250 0.429 1
B1 0.277 0.750 0.068 1
O1 0.040 0.750 0.134 1
O2 0.111 0.250 0.577 1
O3 0.214 0.052 0.318 1
O4 0.314 0.750 0.922 1
O5 0.416 0.750 0.521 1
O6 0.469 0.750 0.183 1
```

=====

Entry 3:
# MnB4O16
Theoretical X-ray powder pattern, λ = 1.5418 Å (Cu Kα). Input: the PBE+U geometry in the Materials Project.
Lines closer than 0.1° are merged.

Most intense lines, 2θ from 10° to 90°, by angle:
| 2θ (°) | I_rel | hkl |
| --- | --- | --- |
| 13.91 | 83 | 1 -1 0 |
| 16.16 | 68 | 0 0 2 |
| 16.24 | 90 | 1 -1 1 |
| 21.60 | 93 | 1 -1 2 |
| 22.22 | 100 | 0 2 -1 |
| 24.90 | 70 | 2 0 -1 |

Crystal structure
```
data_MnB4O16
_chemical_formula_sum 'Mn2 B8 O32'
_symmetry_space_group_name_H-M 'P -1'
_symmetry_Int_Tables_number 2
_cell_length_a 7.523
_cell_length_b 8.484
_cell_length_c 11.266
_cell_angle_alpha 97.82
_cell_angle_beta 97.90
_cell_angle_gamma 106.42
loop_
_symmetry_equiv_pos_as_xyz
'x,y,z'
'-x,-y,-z'
loop_
_atom_site_label
_atom_site_fract_x
_atom_site_fract_y
_atom_site_fract_z
_atom_site_occupancy
Mn1 0.158 0.389 0.310 1
B1 0.202 0.202 0.743 1
B2 0.315 0.033 0.598 1
B3 0.483 0.279 0.901 1
B4 0.489 0.680 0.307 1
O1 0.007 0.795 0.258 1
O2 0.008 0.450 0.230 1
O3 0.052 0.325 0.944 1
O4 0.066 0.770 0.143 1
O5 0.091 0.109 0.143 1
O6 0.099 0.293 0.417 1
O7 0.167 0.053 0.655 1
O8 0.229 0.235 0.199 1
O9 0.282 0.879 0.529 1
O10 0.291 0.196 0.864 1
O11 0.322 0.348 0.700 1
O12 0.372 0.551 0.617 1
O13 0.380 0.544 0.360 1
O14 0.401 0.674 0.181 1
O15 0.441 0.689 0.978 1
O16 0.482 0.160 0.615 1
```

=====

Entry 4:
# Mn3BO5
Theoretical X-ray powder pattern, λ = 1.5418 Å (Cu Kα). Input: the PBE+U geometry in the Materials Project.
Lines closer than 0.1° are merged.

Most intense lines, 2θ from 10° to 90°, by angle:
| 2θ (°) | I_rel | hkl |
| --- | --- | --- |
| 16.61 | 47 | 1 2 0 |
| 33.58 | 100 | 2 4 0 |
| 33.88 | 82 | 2 0 1 |
| 45.51 | 34 | 3 3 1 |
| 58.08 | 35 | 0 0 2 |
| 58.87 | 33 | 1 7 1 |

Crystal structure
```
data_Mn3BO5
_chemical_formula_sum 'Mn12 B4 O20'
_symmetry_space_group_name_H-M 'P b a m'
_symmetry_Int_Tables_number 55
_cell_length_a 9.575
_cell_length_b 12.859
_cell_length_c 3.175
_cell_angle_alpha 90.00
_cell_angle_beta 90.00
_cell_angle_gamma 90.00
loop_
_symmetry_equiv_pos_as_xyz
'x,y,z'
'-x,-y,-z'
'-x,-y,z'
'x,y,-z'
'x+1/2,-y+1/2,-z'
'-x+1/2,y+1/2,z'
'-x+1/2,y+1/2,-z'
'x+1/2,-y+1/2,z'
loop_
_atom_site_label
_atom_site_fract_x
_atom_site_fract_y
_atom_site_fract_z
_atom_site_occupancy
Mn1 0.000 0.000 0.000 1
Mn2 0.000 0.500 0.500 1
Mn3 0.006 0.222 0.500 1
Mn4 0.241 0.383 0.000 1
B1 0.220 0.640 0.000 1
O1 0.104 0.362 0.500 1
O2 0.111 0.919 0.500 1
O3 0.134 0.144 0.000 1
O4 0.146 0.733 0.000 1
O5 0.149 0.546 0.000 1
```

=====

Entry 5:
# MnB4O16
Theoretical X-ray powder pattern, λ = 1.5418 Å (Cu Kα). Input: the PBE+U geometry in the Materials Project.
Lines closer than 0.1° are merged.

Most intense lines, 2θ from 10° to 90°, by angle:
| 2θ (°) | I_rel | hkl |
| --- | --- | --- |
| 11.37 | 100 | 0 1 0 |
| 16.67 | 89 | 0 0 2 |
| 16.82 | 66 | -1 1 1 |
| 17.91 | 82 | 1 -1 1 |
| 22.90 | 98 | 0 2 -1 |
| 23.48 | 79 | 1 -1 2 |

Crystal structure
```
data_MnB4O16
_chemical_formula_sum 'Mn2 B8 O32'
_symmetry_space_group_name_H-M 'P -1'
_symmetry_Int_Tables_number 2
_cell_length_a 7.091
_cell_length_b 8.070
_cell_length_c 11.038
_cell_angle_alpha 97.24
_cell_angle_beta 101.81
_cell_angle_gamma 101.65
loop_
_symmetry_equiv_pos_as_xyz
'x,y,z'
'-x,-y,-z'
loop_
_atom_site_label
_atom_site_fract_x
_atom_site_fract_y
_atom_site_fract_z
_atom_site_occupancy
Mn1 0.145 0.374 0.292 1
B1 0.188 0.224 0.735 1
B2 0.313 0.034 0.594 1
B3 0.478 0.682 0.305 1
B4 0.491 0.281 0.909 1
O1 0.006 0.736 0.275 1
O2 0.020 0.539 0.782 1
O3 0.073 0.158 0.158 1
O4 0.084 0.348 0.948 1
O5 0.092 0.300 0.411 1
O6 0.145 0.849 0.141 1
O7 0.167 0.061 0.655 1
O8 0.262 0.237 0.186 1
O9 0.274 0.875 0.520 1
O10 0.287 0.216 0.867 1
O11 0.328 0.361 0.695 1
O12 0.361 0.540 0.354 1
O13 0.380 0.570 0.615 1
O14 0.388 0.685 0.172 1
O15 0.431 0.692 0.964 1
O16 0.488 0.156 0.611 1
```

=====

Entry 6:
# MnB4O16
Theoretical X-ray powder pattern, λ = 1.5418 Å (Cu Kα). Input: the PBE+U geometry in the Materials Project.
Lines closer than 0.1° are merged.

Most intense lines, 2θ from 10° to 90°, by angle:
| 2θ (°) | I_rel | hkl |
| --- | --- | --- |
| 16.73 | 53 | 1 1 0 |
| 18.45 | 100 | 1 1 -2 |
| 20.88 | 99 | 0 2 -1 |
| 21.04 | 58 | 1 1 1 |
| 23.24 | 96 | 2 0 -1 |
| 23.74 | 58 | 1 -2 0 |

Crystal structure
```
data_MnB4O16
_chemical_formula_sum 'Mn2 B8 O32'
_symmetry_space_group_name_H-M 'P -1'
_symmetry_Int_Tables_number 2
_cell_length_a 7.664
_cell_length_b 8.581
_cell_length_c 11.938
_cell_angle_alpha 103.60
_cell_angle_beta 106.04
_cell_angle_gamma 90.55
loop_
_symmetry_equiv_pos_as_xyz
'x,y,z'
'-x,-y,-z'
loop_
_atom_site_label
_atom_site_fract_x
_atom_site_fract_y
_atom_site_fract_z
_atom_site_occupancy
Mn1 0.106 0.277 0.157 1
B1 0.244 0.286 0.706 1
B2 0.320 0.020 0.609 1
B3 0.378 0.883 0.229 1
B4 0.445 0.264 0.911 1
O1 0.022 0.617 0.920 1
O2 0.025 0.245 0.279 1
O3 0.057 0.835 0.152 1
O4 0.174 0.116 0.089 1
O5 0.196 0.320 0.367 1
O6 0.200 0.885 0.249 1
O7 0.208 0.140 0.622 1
O8 0.208 0.418 0.647 1
O9 0.239 0.882 0.510 1
O10 0.260 0.746 0.550 1
O11 0.274 0.392 0.290 1
O12 0.282 0.561 0.717 1
O13 0.306 0.314 0.825 1
O14 0.403 0.796 0.127 1
O15 0.440 0.281 0.022 1
O16 0.498 0.024 0.670 1
```